[1]
Simulated X-ray powder pattern
Compound: InSn2Pb3
Radiation: a wavelength of 1.5418 Å
Structure: a PBE-relaxed structure
Kinematic intensities with the Lorentz-polarization factor, no thermal factor.

Atomic structure:
```
InSn2Pb3
1.0
5.4864 -2.3764 0.0000
5.4864 2.3764 0.0000
-1.9896 0.0000 6.8330
In Sn Pb
1 2 3
Direct
0.0000 0.0000 0.0000
0.3360 0.3360 0.1544
0.6640 0.6640 0.8456
0.0000 0.0000 0.5000
0.3291 0.3291 0.6774
0.6709 0.6709 0.3226
```

Main lines, low angle first (2θ from 10° to 90°):
2theta, intensity
31.43, 1000
31.68, 986
35.07, 377
36.80, 321
37.86, 309
52.56, 248
53.84, 249
60.96, 157

---

[2]
Simulated X-ray powder pattern
Compound: InSn4Pb4
Radiation: a wavelength of 1.5418 Å
Structure: a PBE-relaxed structure
Kinematic intensities with the Lorentz-polarization factor, no thermal factor.

Atomic structure:
```
InSn4Pb4
1.0
-5.3785 5.3785 2.2870
5.3785 -5.3785 2.2870
5.3785 5.3785 -2.2870
In Sn Pb
1 4 4
Direct
0.0000 0.0000 0.0000
0.0000 0.3408 0.3408
0.0000 0.6592 0.6592
0.3408 0.0000 0.3408
0.6592 0.0000 0.6592
0.3343 0.3343 0.6687
0.3343 0.6657 0.0000
0.6657 0.3343 0.0000
0.6657 0.6657 0.3313
```

Main lines, low angle first (2θ from 10° to 90°):
2theta, intensity
31.71, 1000
35.40, 374
39.40, 141
50.94, 134
53.99, 231
61.25, 311
66.23, 129
66.66, 124

---

[3]
Simulated X-ray powder pattern
Compound: In6SnPb3
Radiation: a wavelength of 1.5418 Å
Structure: a PBE-relaxed structure
Kinematic intensities with the Lorentz-polarization factor, no thermal factor.

Atomic structure:
```
In6SnPb3
1.0
6.1270 0.0000 0.0000
-3.0635 5.3061 0.0000
0.0000 0.0000 9.2598
In Sn Pb
6 1 3
Direct
0.0000 0.4069 0.3126
0.0000 0.5931 0.6874
0.4069 0.0000 0.3126
0.4069 0.4069 0.6874
0.5931 0.0000 0.6874
0.5931 0.5931 0.3126
0.0000 0.0000 0.5000
0.0000 0.0000 0.0000
0.3333 0.6667 0.0000
0.6667 0.3333 0.0000
```

Main lines, low angle first (2θ from 10° to 90°):
2theta, intensity
28.93, 331
29.15, 140
30.74, 731
33.79, 148
35.13, 1000
49.34, 271
51.68, 172
64.04, 165

---

[4]
Simulated X-ray powder pattern
Compound: In3Sn4Pb
Radiation: a wavelength of 1.5418 Å
Structure: a PBE-relaxed structure
Kinematic intensities with the Lorentz-polarization factor, no thermal factor.

Atomic structure:
```
In3Sn4Pb
1.0
8.2465 -2.8065 0.0000
8.2465 2.8065 0.0000
-1.5742 0.0000 4.8806
In Sn Pb
3 4 1
Direct
0.0000 0.0000 0.0000
0.1225 0.1225 0.6252
0.8775 0.8775 0.3748
0.2412 0.2412 0.2438
0.3606 0.3606 0.8627
0.6394 0.6394 0.1373
0.7588 0.7588 0.7562
0.5000 0.5000 0.5000
```

Main lines, low angle first (2θ from 10° to 90°):
2theta, intensity
31.89, 560
32.82, 1000
32.92, 983
34.99, 438
48.06, 360
57.29, 182
57.45, 406
61.33, 169

---

[5]
Simulated X-ray powder pattern
Compound: In6Sn2Pb3
Radiation: a wavelength of 1.5418 Å
Structure: a PBE-relaxed structure
Kinematic intensities with the Lorentz-polarization factor, no thermal factor.

Atomic structure:
```
In6Sn2Pb3
1.0
1.7102 0.9874 31.1723
-1.7102 0.9874 31.1723
0.0000 -1.9748 31.1723
In Sn Pb
6 2 3
Direct
0.0931 0.0931 0.0931
0.1815 0.1815 0.1815
0.3643 0.3643 0.3643
0.6357 0.6357 0.6357
0.8185 0.8185 0.8185
0.9069 0.9069 0.9069
0.4557 0.4557 0.4557
0.5443 0.5443 0.5443
0.0000 0.0000 0.0000
0.2714 0.2714 0.2714
0.7286 0.7286 0.7286
```

Main lines, low angle first (2θ from 10° to 90°):
2theta, intensity
31.57, 326
32.00, 1000
36.99, 665
53.03, 216
53.59, 238
63.54, 264
63.79, 138
66.90, 122

---

[6]
Simulated X-ray powder pattern
Compound: In4Sn2Pb3
Radiation: a wavelength of 1.5418 Å
Structure: a PBE-relaxed structure
Kinematic intensities with the Lorentz-polarization factor, no thermal factor.

Atomic structure:
```
In4Sn2Pb3
1.0
5.6605 -1.7408 0.0000
5.6605 1.7408 0.0000
-5.3675 0.0000 13.1635
In Sn Pb
4 2 3
Direct
0.1750 0.1750 0.1753
0.2796 0.2796 0.6127
0.7204 0.7204 0.3873
0.8250 0.8250 0.8247
0.0534 0.0534 0.7223
0.9466 0.9466 0.2777
0.3927 0.3927 0.0596
0.5000 0.5000 0.5000
0.6073 0.6073 0.9404
```

Main lines, low angle first (2θ from 10° to 90°):
2theta, intensity
31.71, 1000
31.76, 496
32.21, 479
36.74, 679
37.35, 319
53.09, 231
53.69, 223
63.05, 281

---

[7]
Simulated X-ray powder pattern
Compound: In6Sn7Pb16
Radiation: a wavelength of 1.5418 Å
Structure: a PBE-relaxed structure
Kinematic intensities with the Lorentz-polarization factor, no thermal factor.

Atomic structure:
```
In6Sn7Pb16
1.0
0.0000 7.7225 7.7225
7.7225 0.0000 7.7225
7.7225 7.7225 0.0000
In Sn Pb
6 7 16
Direct
0.1591 0.1591 0.8409
0.1591 0.8409 0.1591
0.1591 0.8409 0.8409
0.8409 0.1591 0.1591
0.8409 0.1591 0.8409
0.8409 0.8409 0.1591
0.0000 0.0000 0.5000
0.0000 0.5000 0.0000
0.0000 0.5000 0.5000
0.5000 0.0000 0.0000
0.5000 0.0000 0.5000
0.5000 0.5000 0.0000
0.5000 0.5000 0.5000
0.1391 0.6203 0.6203
0.1519 0.1519 0.1519
0.1519 0.1519 0.5443
0.1519 0.5443 0.1519
0.3797 0.3797 0.3797
0.3797 0.3797 0.8609
0.3797 0.8609 0.3797
0.4557 0.8481 0.8481
0.5443 0.1519 0.1519
0.6203 0.1391 0.6203
0.6203 0.6203 0.1391
0.6203 0.6203 0.6203
0.8481 0.4557 0.8481
0.8481 0.8481 0.4557
0.8481 0.8481 0.8481
0.8609 0.3797 0.3797
```

Main lines, low angle first (2θ from 10° to 90°):
2theta, intensity
23.03, 310
30.06, 434
32.80, 1000
34.35, 213
34.85, 190
47.07, 169
58.56, 184
59.56, 210

---

[8]
Simulated X-ray powder pattern
Compound: In12SnPb16
Radiation: a wavelength of 1.5418 Å
Structure: a PBE-relaxed structure
Kinematic intensities with the Lorentz-polarization factor, no thermal factor.

Atomic structure:
```
In12SnPb16
1.0
6.0020 -8.2657 0.0000
6.0020 8.2657 0.0000
-5.6449 0.0000 8.6997
In Sn Pb
12 1 16
Direct
0.0000 0.0000 0.0000
0.1696 0.5519 0.9899
0.1760 0.1760 0.3677
0.1847 0.9961 0.8083
0.3538 0.7347 0.3593
0.3581 0.5497 0.5463
0.5435 0.7319 0.1673
0.5497 0.3581 0.5463
0.5519 0.1696 0.9899
0.7319 0.5435 0.1673
0.7347 0.3538 0.3593
0.9961 0.1847 0.8083
0.9603 0.9603 0.4695
0.0303 0.3689 0.1835
0.0437 0.7820 0.1810
0.0522 0.3642 0.5923
0.0698 0.6782 0.4863
0.3586 0.3586 0.1720
0.3592 0.7719 0.8614
0.3642 0.0522 0.5923
0.3689 0.0303 0.1835
0.3689 0.3689 0.8486
0.6472 0.9476 0.7627
0.6741 0.6741 0.8887
0.6782 0.0698 0.4863
0.6853 0.6853 0.4852
0.7719 0.3592 0.8614
0.7820 0.0437 0.1810
0.9476 0.6472 0.7627
```

Main lines, low angle first (2θ from 10° to 90°):
2theta, intensity
29.81, 498
31.04, 319
31.19, 800
31.56, 444
31.75, 434
31.92, 661
32.16, 1000
35.50, 328

---

[9]
Simulated X-ray powder pattern
Compound: In3Sn8Pb3
Radiation: a wavelength of 1.5418 Å
Structure: a PBE-relaxed structure
Kinematic intensities with the Lorentz-polarization factor, no thermal factor.

Atomic structure:
```
In3Sn8Pb3
1.0
-2.7296 6.0356 6.1930
2.7296 -6.0356 6.1930
2.7296 6.0356 -6.1930
In Sn Pb
3 8 3
Direct
0.0000 0.0000 0.0000
0.1552 0.6552 0.5000
0.8448 0.3448 0.5000
0.1114 0.2442 0.8672
0.2329 0.8765 0.3564
0.3770 0.2442 0.1328
0.4799 0.1235 0.3564
0.5201 0.8765 0.6436
0.6230 0.7558 0.8672
0.7671 0.1235 0.6436
0.8886 0.7558 0.1328
0.2163 0.5000 0.7163
0.5000 0.5000 0.0000
0.7837 0.5000 0.2837
```

Main lines, low angle first (2θ from 10° to 90°):
2theta, intensity
30.93, 331
31.04, 308
31.16, 1000
32.81, 746
33.02, 370
34.11, 762
34.73, 458
64.12, 405

---

[10]
Simulated X-ray powder pattern
Compound: In3Sn2Pb6
Radiation: a wavelength of 1.5418 Å
Structure: a PBE-relaxed structure
Kinematic intensities with the Lorentz-polarization factor, no thermal factor.

Atomic structure:
```
In3Sn2Pb6
1.0
-5.6767 5.6767 5.6767
5.6767 -5.6767 5.6767
5.6767 5.6767 -5.6767
In Sn Pb
6 4 12
Direct
0.0000 0.2348 0.2348
0.0000 0.7652 0.7652
0.2348 0.0000 0.2348
0.2348 0.2348 0.0000
0.7652 0.0000 0.7652
0.7652 0.7652 0.0000
0.0000 0.0000 0.5000
0.0000 0.5000 0.0000
0.5000 0.0000 0.0000
0.5000 0.5000 0.5000
0.0000 0.3524 0.6476
0.0000 0.6476 0.3524
0.2952 0.6476 0.6476
0.3524 0.0000 0.6476
0.3524 0.3524 0.7048
0.3524 0.6476 0.0000
0.3524 0.7048 0.3524
0.6476 0.0000 0.3524
0.6476 0.2952 0.6476
0.6476 0.3524 0.0000
0.6476 0.6476 0.2952
0.7048 0.3524 0.3524
```

Main lines, low angle first (2θ from 10° to 90°):
2theta, intensity
11.02, 219
29.44, 391
33.49, 1000
35.36, 182
46.65, 136
56.13, 138
59.86, 122
66.96, 169

---

[11]
Simulated X-ray powder pattern
Compound: In8Sn2Pb3
Radiation: a wavelength of 1.5418 Å
Structure: a PBE-relaxed structure
Kinematic intensities with the Lorentz-polarization factor, no thermal factor.

Atomic structure:
```
In8Sn2Pb3
1.0
7.0470 -4.9874 0.0000
7.0470 4.9874 0.0000
-1.7299 0.0000 5.3866
In Sn Pb
8 2 3
Direct
0.0539 0.0539 0.2729
0.0879 0.5726 0.8291
0.3148 0.3148 0.4037
0.4274 0.9121 0.1709
0.5726 0.0879 0.8291
0.6852 0.6852 0.5963
0.9121 0.4274 0.1709
0.9461 0.9461 0.7271
0.1865 0.1865 0.8185
0.8135 0.8135 0.1815
0.2878 0.7122 0.5000
0.5000 0.5000 0.0000
0.7122 0.2878 0.5000
```

Main lines, low angle first (2θ from 10° to 90°):
2theta, intensity
30.15, 632
30.96, 165
31.79, 177
32.24, 1000
33.10, 364
36.02, 370
40.33, 186
40.36, 222

---

[12]
Simulated X-ray powder pattern
Compound: In3SnPb3
Radiation: a wavelength of 1.5418 Å
Structure: a PBE-relaxed structure
Kinematic intensities with the Lorentz-polarization factor, no thermal factor.

Atomic structure:
```
In3SnPb3
1.0
8.9683 0.0000 0.0000
-4.4842 7.7668 0.0000
0.0000 0.0000 5.8782
In Sn Pb
6 2 6
Direct
0.0439 0.8130 0.2500
0.1870 0.2309 0.2500
0.2309 0.0439 0.7500
0.7691 0.9561 0.2500
0.8130 0.7691 0.7500
0.9561 0.1870 0.7500
0.3333 0.6667 0.2500
0.6667 0.3333 0.7500
0.0899 0.6172 0.7500
0.3828 0.4727 0.7500
0.4727 0.0899 0.2500
0.5273 0.9101 0.7500
0.6172 0.5273 0.2500
0.9101 0.3828 0.2500
```

Main lines, low angle first (2θ from 10° to 90°):
2theta, intensity
30.43, 533
34.14, 1000
43.58, 176
54.11, 179
56.47, 248
63.34, 290
65.55, 151
90.00, 138